[1]
Starting from the GGA-PBE geometry in Alexandria, the PXRD pattern of Ce3Se was calculated for Cu Kα (λ = 1.5418 Å).
Peak positions follow from Bragg's law for the DFT cell and can differ from measured ones.

Structural model:
a b c (Å): 3.7133 9.5658 5.8356
angles (deg): 90.00 90.00 90.00
Space group Imm2 (No. 44)
One atom of each set of equivalent atoms:
Ce 0.0000 0.0000 0.0000 (multiplicity 2)
Ce 0.0000 0.2039 0.6588 (multiplicity 4)
Se 0.0000 0.5000 0.8991 (multiplicity 2)

Main lines, low angle first (2θ = 15–90°):
2θ/deg  I (rel.)  hkl
25.74  15  1 1 0
28.49  51  1 0 1
31.98  40  0 3 1
34.22  100  1 2 1
36.06  50  0 2 2
37.61  16  0 4 0
48.91  15  1 3 2
49.07  17  2 0 0
53.15  18  1 0 3
62.38  20  2 2 2



[2]
Starting from the GGA-PBE geometry in Alexandria, the PXRD pattern of La2Tc2Hg was calculated for Cu Kα (λ = 1.5418 Å).
Peak positions follow from Bragg's law for the DFT cell and can differ from measured ones.

Structural model:
a b c (Å): 7.2153 7.2153 4.6495
angles (deg): 90.00 90.00 90.00
Space group P4/mbm (No. 127)
One atom of each set of equivalent atoms:
La 0.1819 0.3181 0.0000 (multiplicity 4)
Tc 0.1114 0.6114 0.5000 (multiplicity 4)
Hg 0.0000 0.0000 0.5000 (multiplicity 2)

Main lines, low angle first (2θ = 15–90°):
2θ/deg  I (rel.)  hkl
25.93  15  1 1 1
31.38  100  2 0 1
33.81  96  2 1 1
35.18  23  2 2 0
38.73  38  0 0 2
39.49  47  3 1 0
56.51  33  3 1 2
57.72  17  3 3 1
66.96  24  2 1 3
69.43  23  5 1 1



[3]
Starting from the GGA-PBE geometry in Alexandria, the PXRD pattern of LaAg5S4 was calculated for Cu Kα (λ = 1.5418 Å).
Peak positions follow from Bragg's law for the DFT cell and can differ from measured ones.

Structural model:
a b c (Å): 4.3002 7.4341 8.1784
angles (deg): 115.11 102.52 96.05
Space group P-1 (No. 2)
One atom of each set of equivalent atoms:
La 0.0000 0.0000 0.0000 (multiplicity 1)
Ag 0.0000 0.5000 0.0000 (multiplicity 1)
Ag 0.3090 0.5922 0.6437 (multiplicity 2)
Ag 0.3326 0.0447 0.6415 (multiplicity 2)
S 0.2093 0.2076 0.4147 (multiplicity 2)
S 0.4464 0.7367 0.0011 (multiplicity 2)

Main lines, low angle first (2θ = 15–90°):
2θ/deg  I (rel.)  hkl
27.21  51  0 2 0
28.15  100  1 0 1
30.92  63  1 -2 1
34.29  48  1 2 -2
38.10  36  0 0 3
42.27  35  2 0 -1
44.21  22  -1 2 2
44.36  23  1 -2 3
46.82  38  1 2 1
49.31  17  0 4 -2